Diffraction record for PrSO5. The powder diffraction line list is calculated, not measured: it uses a DFT-relaxed cell (PBE, Alexandria) and copper Kα.

Atomic structure:
Cell: 4.6540 4.9103 4.9272 Å, 87.91 74.24 72.07°
Space group P1 (No. 1)
Unique sites:
Pr 0.0000 0.0000 0.0000 (multiplicity 1)
S 0.7980 0.5384 0.5850 (multiplicity 1)
O 0.0017 0.6559 0.3609 (multiplicity 1)
O 0.4473 0.0953 0.0699 (multiplicity 1)
O 0.4684 0.7232 0.6459 (multiplicity 1)
O 0.8320 0.2374 0.5020 (multiplicity 1)
O 0.9067 0.5204 0.8485 (multiplicity 1)

Top 10 peaks for 2θ = 10–90°, most intense first:
2θ (°)	I (rel.)	hkl
20.86	100	1 0 0
26.11	77	0 1 -1
27.52	55	0 1 1
27.04	54	1 1 1
18.74	46	0 0 1
38.05	45	0 0 2
19.02	38	0 1 0
23.52	33	1 1 0
40.73	32	2 1 0
31.88	26	1 0 -1